(1)
The following is a computed PXRD pattern of MgMoPd. It was derived from a structure optimized by DFT (GGA-PBE), using a wavelength of 1.5418 Å.
Kinematic intensities with the Lorentz-polarization factor, no thermal factor.

Structure:
Cell: 3.2334 3.2455 9.4471 Å, 90.00 91.43 90.00°
Positions (direct):
1 Mg 0.0000 0.0000 0.0000
2 Mg 0.0194 0.0000 0.3256
3 Mo 0.0586 0.0000 0.6717
4 Mo 0.4873 0.5000 0.8073
5 Pd 0.5088 0.5000 0.1574
6 Pd 0.5250 0.5000 0.4858

Most intense lines, 10 to 80 degrees two-theta, in order of falling intensity:
- 2θ = 39.34°, rel. 100
- 2θ = 39.90°, rel. 94
- 2θ = 39.45°, rel. 50
- 2θ = 40.50°, rel. 42
- 2θ = 28.35°, rel. 19
- 2θ = 27.60°, rel. 18
- 2θ = 27.48°, rel. 17
- 2θ = 56.73°, rel. 17



(2)
The following is a computed PXRD pattern of Ba3Cl2O2. It was derived from a structure optimized by DFT (GGA-PBE), using a wavelength of 1.5418 Å.
Kinematic intensities with the Lorentz-polarization factor, no thermal factor.

Structure:
Cell: 12.5367 6.4355 10.7729 Å, 90.00 90.00 90.00°
Positions (direct):
1 Ba 0.0323 0.2500 0.1953
2 Ba 0.0862 0.2500 0.5480
3 Ba 0.2035 0.7500 0.3390
4 Ba 0.2965 0.2500 0.8390
5 Ba 0.4138 0.7500 0.0480
6 Ba 0.4677 0.7500 0.6953
7 Ba 0.5323 0.2500 0.3047
8 Ba 0.5862 0.2500 0.9520
9 Ba 0.7035 0.7500 0.1610
10 Ba 0.7965 0.2500 0.6610
11 Ba 0.9138 0.7500 0.4520
12 Ba 0.9677 0.7500 0.8047
13 Cl 0.1354 0.7500 0.0433
14 Cl 0.2093 0.7500 0.6560
15 Cl 0.2907 0.2500 0.1560
16 Cl 0.3646 0.2500 0.5433
17 Cl 0.6354 0.7500 0.4567
18 Cl 0.7093 0.7500 0.8440
19 Cl 0.7907 0.2500 0.3440
20 Cl 0.8646 0.2500 0.9567
21 O 0.0628 0.5017 0.3631
22 O 0.0628 0.9983 0.3631
23 O 0.4372 0.0017 0.8631
24 O 0.4372 0.4983 0.8631
25 O 0.5628 0.5017 0.1369
26 O 0.5628 0.9983 0.1369
27 O 0.9372 0.0017 0.6369
28 O 0.9372 0.4983 0.6369

Most intense lines, 10 to 80 degrees two-theta, in order of falling intensity:
- 2θ = 29.36°, rel. 100
- 2θ = 21.44°, rel. 96
- 2θ = 27.72°, rel. 92
- 2θ = 31.76°, rel. 91
- 2θ = 22.67°, rel. 80
- 2θ = 26.75°, rel. 69
- 2θ = 10.83°, rel. 66
- 2θ = 39.07°, rel. 42



- Which formula does entry 2 have?
  Ba3Cl2O2